Li4Ti2V3Co3O16: calculated XRD peak list (copper Kα), based on a DFT-relaxed cell (GGA+U, Alexandria).
Neutral-atom scattering factors, no anomalous dispersion.

Structure:
```
Li4Ti2V3Co3O16
1.0
5.0521 -2.9233 0.0000
5.0521 2.9233 0.0000
-0.0661 0.0000 9.4850
Li Ti V Co O
4 2 3 3 16
direct
0.0000 0.0000 0.0000 Li
0.0120 0.0120 0.4967 Li
0.3492 0.3492 0.9073 Li
0.6757 0.6757 0.3939 Li
0.3598 0.3598 0.4980 Ti
0.6719 0.6719 0.0078 Ti
0.1808 0.1808 0.2277 V
0.3641 0.8549 0.7240 V
0.8549 0.3641 0.7240 V
0.1772 0.6652 0.2166 Co
0.6652 0.1772 0.2166 Co
0.8444 0.8444 0.7133 Co
0.0052 0.0052 0.3070 O
0.0200 0.0200 0.8109 O
0.0476 0.4909 0.3400 O
0.1841 0.1841 0.6007 O
0.1972 0.6796 0.5953 O
0.3380 0.8392 0.1034 O
0.3409 0.3409 0.1127 O
0.4873 0.4873 0.3342 O
0.4909 0.0476 0.3400 O
0.5163 0.9771 0.8516 O
0.5316 0.5316 0.8427 O
0.6693 0.6693 0.6031 O
0.6796 0.1972 0.5953 O
0.8381 0.8381 0.1042 O
0.8392 0.3380 0.1034 O
0.9771 0.5163 0.8516 O
```

Largest 6 diffraction maxima, by angle, 5° ≤ 2θ ≤ 70°:
| two_theta | d (Å) | intensity |
| --- | --- | --- |
| 18.7 | 4.742 | 100 |
| 19.9 | 4.466 | 97 |
| 36.1 | 2.490 | 40 |
| 36.8 | 2.445 | 65 |
| 45.8 | 1.979 | 40 |
| 63.8 | 1.459 | 32 |